Entry 1:
# Ce12Sn4HgC3
Computed powder X-ray diffraction pattern, copper Kα. Input: a cell relaxed with PBE.
Neutral-atom scattering factors, no anomalous dispersion.

Structure:
Cell: 8.903 8.903 8.903 Å, 109.47 109.47 109.47°
Fractional positions:
Ce: 0.000 0.277 0.277
Ce: 0.000 0.723 0.723
Ce: 0.250 0.500 0.750
Ce: 0.250 0.750 0.500
Ce: 0.277 0.000 0.277
Ce: 0.277 0.277 0.000
Ce: 0.500 0.250 0.750
Ce: 0.500 0.750 0.250
Ce: 0.723 0.000 0.723
Ce: 0.723 0.723 0.000
Ce: 0.750 0.250 0.500
Ce: 0.750 0.500 0.250
Sn: 0.000 0.000 0.500
Sn: 0.000 0.500 0.000
Sn: 0.500 0.000 0.000
Sn: 0.500 0.500 0.500
Hg: 0.000 0.000 0.000
C: 0.000 0.500 0.500
C: 0.500 0.000 0.500
C: 0.500 0.500 0.000

Peak list (6 most intense, 2θ from 10° to 90°, in order of falling intensity)
d_spacing  2θ/deg  I_rel
2.968  30.11  100
2.570  34.91  78
1.817  50.20  53
1.550  59.66  39
1.149  84.25  21
1.484  62.61  17

***

Entry 2:
# CeHo3C2
Computed powder X-ray diffraction pattern, copper Kα. Input: a cell relaxed with PBE.
Neutral-atom scattering factors, no anomalous dispersion.

Structure:
Cell: 8.304 8.304 12.379 Å, 129.43 129.43 24.77°
Fractional positions:
Ce: 0.139 0.139 0.197
Ce: 0.861 0.861 0.803
Ho: 0.137 0.137 0.696
Ho: 0.358 0.358 0.049
Ho: 0.360 0.360 0.553
Ho: 0.640 0.640 0.447
Ho: 0.642 0.642 0.951
Ho: 0.863 0.863 0.304
C: 0.249 0.249 0.625
C: 0.253 0.253 0.128
C: 0.747 0.747 0.872
C: 0.751 0.751 0.375

Peak list (6 most intense, 2θ from 10° to 90°, in order of falling intensity)
d_spacing  2θ/deg  I_rel
2.936  30.44  100
2.556  35.11  77
3.081  28.98  50
2.918  30.64  50
2.594  34.58  39
1.785  51.17  27

***

Entry 3:
# Ce2YC2I2
Computed powder X-ray diffraction pattern, copper Kα. Input: a cell relaxed with PBE.
Neutral-atom scattering factors, no anomalous dispersion.

Structure:
Cell: 10.048 10.048 10.048 Å, 153.79 153.79 37.40°
Fractional positions:
Ce: 0.076 0.076 0.000
Ce: 0.924 0.924 0.000
Y: 0.500 0.500 0.000
C: 0.000 0.500 0.500
C: 0.500 0.000 0.500
I: 0.333 0.333 0.000
I: 0.667 0.667 0.000

Peak list (6 most intense, 2θ from 10° to 90°, in order of falling intensity)
d_spacing  2θ/deg  I_rel
3.222  27.69  100
2.921  30.60  78
2.335  38.56  53
2.278  39.56  44
1.797  50.82  37
1.631  56.43  35

***

Entry 4:
# Ce4IrC
Computed powder X-ray diffraction pattern, copper Kα. Input: a cell relaxed with PBE.
Neutral-atom scattering factors, no anomalous dispersion.

Structure:
Cell: 7.711 7.711 6.438 Å, 105.68 105.68 120.48°
Fractional positions:
Ce: 0.063 0.647 0.812
Ce: 0.189 0.302 0.726
Ce: 0.302 0.189 0.226
Ce: 0.353 0.937 0.688
Ce: 0.647 0.063 0.312
Ce: 0.698 0.811 0.774
Ce: 0.811 0.698 0.274
Ce: 0.937 0.353 0.188
Ir: 0.391 0.609 0.250
Ir: 0.609 0.391 0.750
C: 0.055 0.945 0.750
C: 0.945 0.055 0.250

Peak list (6 most intense, 2θ from 10° to 90°, in order of falling intensity)
d_spacing  2θ/deg  I_rel
2.700  33.18  100
2.471  36.37  96
2.518  35.66  95
2.845  31.45  88
3.319  26.87  66
2.671  33.55  61

***

Entry 5:
# K2CePCO7
Computed powder X-ray diffraction pattern, copper Kα. Input: a cell relaxed with PBE.
Neutral-atom scattering factors, no anomalous dispersion.

Structure:
Cell: 5.689 7.360 10.212 Å, 90.00 91.02 90.00°
Fractional positions:
K: 0.242 0.016 0.291
K: 0.242 0.484 0.291
K: 0.758 0.516 0.709
K: 0.758 0.984 0.709
Ce: 0.294 0.250 0.888
Ce: 0.706 0.750 0.112
P: 0.207 0.750 0.929
P: 0.793 0.250 0.071
C: 0.248 0.250 0.606
C: 0.752 0.750 0.394
O: 0.067 0.250 0.084
O: 0.069 0.250 0.688
O: 0.218 0.250 0.483
O: 0.277 0.750 0.078
O: 0.309 0.576 0.864
O: 0.309 0.924 0.864
O: 0.456 0.250 0.664
O: 0.544 0.750 0.336
O: 0.691 0.076 0.136
O: 0.691 0.424 0.136
O: 0.723 0.250 0.922
O: 0.782 0.750 0.517
O: 0.931 0.750 0.312
O: 0.933 0.750 0.916

Peak list (6 most intense, 2θ from 10° to 90°, in order of falling intensity)
d_spacing  2θ/deg  I_rel
5.970  14.84  100
4.501  19.73  98
2.947  30.33  85
3.766  23.62  76
3.834  23.20  73
2.965  30.14  64

***

Entry 6:
# La2CeC4
Computed powder X-ray diffraction pattern, copper Kα. Input: a cell relaxed with PBE.
Neutral-atom scattering factors, no anomalous dispersion.

Structure:
Cell: 7.326 7.326 7.326 Å, 104.28 93.20 134.23°
Fractional positions:
La: 0.146 0.145 0.290
La: 0.354 0.645 0.999
La: 0.646 0.355 0.001
La: 0.854 0.855 0.710
Ce: 0.250 0.750 0.500
Ce: 0.750 0.250 0.500
C: 0.094 0.717 0.812
C: 0.131 0.861 0.992
C: 0.369 0.361 0.731
C: 0.406 0.217 0.623
C: 0.594 0.783 0.377
C: 0.631 0.639 0.269
C: 0.869 0.139 0.008
C: 0.906 0.283 0.188

Peak list (6 most intense, 2θ from 10° to 90°, in order of falling intensity)
d_spacing  2θ/deg  I_rel
3.144  28.39  100
3.331  26.76  98
2.622  34.19  81
3.479  25.61  80
2.873  31.13  74
1.759  51.99  58

***

Entry 7:
# LaCeCS
Computed powder X-ray diffraction pattern, copper Kα. Input: a cell relaxed with PBE.
Neutral-atom scattering factors, no anomalous dispersion.

Structure:
Cell: 3.952 3.952 5.617 Å, 90.00 90.00 90.00°
Fractional positions:
La: 0.000 0.000 0.000
Ce: 0.500 0.500 0.500
C: 0.000 0.000 0.500
S: 0.500 0.500 0.000

Peak list (6 most intense, 2θ from 10° to 90°, in order of falling intensity)
d_spacing  2θ/deg  I_rel
3.232  27.60  100
2.795  32.02  66
1.981  45.80  48
2.809  31.86  33
1.686  54.42  32
1.616  56.98  25

***

Entry 8:
# La2Ce2Sb2C
Computed powder X-ray diffraction pattern, copper Kα. Input: a cell relaxed with PBE.
Neutral-atom scattering factors, no anomalous dispersion.

Structure:
Cell: 9.132 9.132 9.132 Å, 149.23 149.23 44.08°
Fractional positions:
La: 0.164 0.164 0.000
La: 0.836 0.836 0.000
Ce: 0.000 0.500 0.500
Ce: 0.500 0.000 0.500
Sb: 0.362 0.362 0.000
Sb: 0.638 0.638 0.000
C: 0.000 0.000 0.000

Peak list (6 most intense, 2θ from 10° to 90°, in order of falling intensity)
d_spacing  2θ/deg  I_rel
2.663  33.65  100
3.176  28.09  72
2.423  37.10  59
1.838  49.59  36
2.822  31.71  31
1.441  64.69  30

***

Entry 9:
# LiCe3C
Computed powder X-ray diffraction pattern, copper Kα. Input: a cell relaxed with PBE.
Neutral-atom scattering factors, no anomalous dispersion.

Structure:
Cell: 4.990 4.990 4.990 Å, 90.00 90.00 90.00°
Fractional positions:
Li: 0.000 0.000 0.000
Ce: 0.000 0.500 0.500
Ce: 0.500 0.000 0.500
Ce: 0.500 0.500 0.000
C: 0.500 0.500 0.500

Peak list (6 most intense, 2θ from 10° to 90°, in order of falling intensity)
d_spacing  2θ/deg  I_rel
2.881  31.04  100
2.495  36.00  56
1.504  61.65  43
1.764  51.82  39
4.990  17.78  37
3.528  25.24  22

***

Entry 10:
# CeMg14C
Computed powder X-ray diffraction pattern, copper Kα. Input: a cell relaxed with PBE.
Neutral-atom scattering factors, no anomalous dispersion.

Structure:
Cell: 6.432 6.432 10.040 Å, 90.00 90.00 120.00°
Fractional positions:
Ce: 0.000 0.000 0.000
Mg: 0.019 0.509 0.000
Mg: 0.156 0.312 0.279
Mg: 0.156 0.312 0.721
Mg: 0.156 0.844 0.279
Mg: 0.156 0.844 0.721
Mg: 0.491 0.509 0.000
Mg: 0.491 0.981 0.000
Mg: 0.508 0.016 0.500
Mg: 0.508 0.492 0.500
Mg: 0.667 0.333 0.236
Mg: 0.667 0.333 0.764
Mg: 0.688 0.844 0.279
Mg: 0.688 0.844 0.721
Mg: 0.984 0.492 0.500
C: 0.000 0.000 0.500

Peak list (6 most intense, 2θ from 10° to 90°, in order of falling intensity)
d_spacing  2θ/deg  I_rel
2.435  36.91  100
4.871  18.21  43
2.785  32.14  28
5.571  15.91  27
2.869  31.18  22
2.510  35.77  21

***

Entry 11:
# Ce2Mn22C3
Computed powder X-ray diffraction pattern, copper Kα. Input: a cell relaxed with PBE.
Neutral-atom scattering factors, no anomalous dispersion.

Structure:
Cell: 7.770 7.770 6.497 Å, 114.51 114.51 79.23°
Fractional positions:
Ce: 0.249 0.249 0.122
Ce: 0.751 0.751 0.878
Mn: 0.000 0.000 0.500
Mn: 0.000 0.500 0.500
Mn: 0.084 0.822 0.759
Mn: 0.089 0.671 0.324
Mn: 0.176 0.579 0.932
Mn: 0.178 0.916 0.241
Mn: 0.248 0.248 0.618
Mn: 0.329 0.574 0.640
Mn: 0.329 0.911 0.676
Mn: 0.421 0.824 0.068
Mn: 0.426 0.671 0.360
Mn: 0.500 0.000 0.500
Mn: 0.500 0.500 0.000
Mn: 0.574 0.329 0.640
Mn: 0.579 0.176 0.932
Mn: 0.671 0.089 0.324
Mn: 0.671 0.426 0.360
Mn: 0.752 0.752 0.382
Mn: 0.822 0.084 0.759
Mn: 0.824 0.421 0.068
Mn: 0.911 0.329 0.676
Mn: 0.916 0.178 0.241
C: 0.000 0.000 0.000
C: 0.000 0.500 0.000
C: 0.500 0.000 0.000

Peak list (6 most intense, 2θ from 10° to 90°, in order of falling intensity)
d_spacing  2θ/deg  I_rel
2.257  39.94  100
2.247  40.12  69
2.223  40.57  68
2.117  42.72  61
2.268  39.74  50
2.280  39.53  49

***

Entry 12:
# Ce2MnC4
Computed powder X-ray diffraction pattern, copper Kα. Input: a cell relaxed with PBE.
Neutral-atom scattering factors, no anomalous dispersion.

Structure:
Cell: 6.766 6.766 6.766 Å, 112.87 84.12 135.55°
Fractional positions:
Ce: 0.144 0.167 0.311
Ce: 0.356 0.667 0.023
Ce: 0.644 0.333 0.977
Ce: 0.856 0.833 0.689
Mn: 0.250 0.750 0.500
Mn: 0.750 0.250 0.500
C: 0.081 0.667 0.747
C: 0.123 0.844 0.967
C: 0.377 0.344 0.721
C: 0.419 0.167 0.586
C: 0.581 0.833 0.414
C: 0.623 0.656 0.279
C: 0.877 0.156 0.033
C: 0.919 0.333 0.253

Peak list (6 most intense, 2θ from 10° to 90°, in order of falling intensity)
d_spacing  2θ/deg  I_rel
3.233  27.59  100
2.893  30.91  64
3.057  29.21  41
1.576  58.57  31
2.421  37.14  29
1.793  50.94  25

***

Entry 13:
# CeMn2SiC
Computed powder X-ray diffraction pattern, copper Kα. Input: a cell relaxed with PBE.
Neutral-atom scattering factors, no anomalous dispersion.

Structure:
Cell: 5.663 5.663 7.016 Å, 90.00 90.00 141.02°
Fractional positions:
Ce: 0.048 0.952 0.750
Ce: 0.952 0.048 0.250
Mn: 0.332 0.668 0.562
Mn: 0.332 0.668 0.938
Mn: 0.668 0.332 0.062
Mn: 0.668 0.332 0.438
Si: 0.233 0.767 0.250
Si: 0.767 0.233 0.750
C: 0.500 0.500 0.000
C: 0.500 0.500 0.500

Peak list (6 most intense, 2θ from 10° to 90°, in order of falling intensity)
d_spacing  2θ/deg  I_rel
2.498  35.95  100
2.591  34.62  35
2.430  36.99  33
2.932  30.49  21
1.889  48.16  17
2.142  42.19  16